Entry 1:
Calculated powder diffractogram
Compound: Pr3Nd4ErS8
Radiation: Cu Kα X-rays
Structure: a cell relaxed with GGA-PBE

Peak list (12 most intense, 2θ = 10–90°, sorted by position)
| 2theta | Rel. int. |
| --- | --- |
| 26.89 | 751 |
| 31.14 | 1000 |
| 44.62 | 724 |
| 52.87 | 376 |
| 55.39 | 189 |
| 55.50 | 63 |
| 64.95 | 116 |
| 71.59 | 115 |
| 73.78 | 319 |
| 82.19 | 181 |
| 82.35 | 60 |
| 88.42 | 91 |

```
Pr3Nd4ErS8
1.0
4.064 2.346 6.622
-4.064 2.346 6.622
0.000 -4.693 6.622
Pr Nd Er S
3 4 1 8
direct
0.000 0.500 0.500 Pr
0.500 0.000 0.500 Pr
0.500 0.500 0.000 Pr
0.000 0.000 0.500 Nd
0.000 0.500 0.000 Nd
0.500 0.000 0.000 Nd
0.500 0.500 0.500 Nd
0.000 0.000 0.000 Er
0.240 0.758 0.758 S
0.242 0.242 0.760 S
0.242 0.760 0.242 S
0.249 0.249 0.249 S
0.751 0.751 0.751 S
0.758 0.240 0.758 S
0.758 0.758 0.240 S
0.760 0.242 0.242 S
```

=====

Entry 2:
Calculated powder diffractogram
Compound: TiSe2Cl5
Radiation: Cu Kα X-rays
Structure: a cell relaxed with GGA-PBE

Peak list (12 most intense, 2θ = 10–90°, sorted by position)
| 2theta | Rel. int. |
| --- | --- |
| 15.94 | 408 |
| 16.65 | 261 |
| 17.11 | 775 |
| 17.36 | 907 |
| 18.64 | 288 |
| 19.14 | 936 |
| 20.21 | 1000 |
| 25.05 | 708 |
| 25.47 | 304 |
| 26.21 | 672 |
| 28.12 | 276 |
| 42.25 | 304 |

```
TiSe2Cl5
1.0
6.032 0.000 0.000
2.667 6.347 0.000
0.332 0.131 8.790
Ti Se Cl
1 2 5
direct
0.000 0.000 0.000 Ti
0.547 0.438 0.462 Se
0.827 0.527 0.555 Se
0.197 0.040 0.795 Cl
0.209 0.991 0.199 Cl
0.653 0.266 0.017 Cl
0.743 0.873 0.509 Cl
0.945 0.705 0.988 Cl
```